The following is a simulated powder XRD pattern of La2SiHgPd6. It was derived from the GGA-PBE geometry in Alexandria, using Cu Kα (λ = 1.5418 Å).
Neutral-atom scattering factors, no anomalous dispersion.

The 10 most intense peaks (10 to 90 degrees two-theta), sorted by position:
(0 0 1), 2θ 10.28, rel. 302; (1 2 1), 2θ 27.66, rel. 945; (0 2 2), 2θ 28.89, rel. 426; (1 2 2), 2θ 33.12, rel. 473; (1 0 3), 2θ 35.22, rel. 393; (2 2 0), 2θ 38.05, rel. 713; (2 0 2), 2θ 38.42, rel. 846; (0 4 0), 2θ 40.60, rel. 821; (1 2 3), 2θ 40.78, rel. 1000; (2 4 2), 2θ 57.13, rel. 529

Crystal structure
```
data_La2SiHgPd6
_space_group_name_H-M_alt 'P m m n'
_space_group_IT_number 59
_cell_length_a 5.5873
_cell_length_b 8.8881
_cell_length_c 8.6035
_cell_angle_alpha 90.00
_cell_angle_beta 90.00
_cell_angle_gamma 90.00
loop_
_space_group_symop_operation_xyz
'x,y,z'
'-x,-y,-z'
'-x+1/2,-y+1/2,z'
'x+1/2,y+1/2,-z'
'x+1/2,-y,-z'
'-x+1/2,y,z'
'-x,y+1/2,-z'
'x,-y+1/2,z'
loop_
_atom_site_label
_atom_site_fract_x
_atom_site_fract_y
_atom_site_fract_z
_atom_site_occupancy
La1 0.2500 0.0020 0.2396 1
Si1 0.2500 0.2500 0.7183 1
Hg1 0.2500 0.7500 0.7930 1
Pd1 0.9997 0.2500 0.9384 1
Pd2 0.0038 0.7500 0.5080 1
Pd3 0.2500 0.0019 0.5968 1
```